Structure and theoretical X-ray powder pattern of BaAs2IrSe8 (a crystal structure in Alexandria, relaxed with GGA-PBE; Cu Kα (weighted mean of Kα1 and Kα2)).
Kinematic intensities with the Lorentz-polarization factor, no thermal factor.

Largest 12 diffraction maxima, by angle, 10° ≤ 2θ ≤ 90°:
(hkl), 2θ (°), I/Imax
1 0 0, 16.7, 347
0 1 1, 19.2, 389
1 0 2, 25.3, 869
0 0 3, 28.4, 405
1 1 0, 29.1, 519
1 1 1, 30.7, 668
2 -1 2, 34.9, 1000
2 0 1, 35.1, 402
2 0 2, 38.9, 422
1 1 4, 48.7, 820
3 -1 2, 49.4, 270
3 0 0, 51.6, 511

Atomic structure:
a b c (Å): 6.1304 6.1304 9.4340
angles (deg): 90.00 90.00 120.00
Space group P-3 (No. 147)
Unique sites:
Ba  0.0000  0.0000  0.0000 x1
As  0.3333  0.6667  0.7305 x2
Ir  0.0000  0.0000  0.5000 x1
Se  0.0655  0.7152  0.3362 x6
Se  0.3333  0.6667  0.9765 x2

***

Structure and theoretical X-ray powder pattern of K2BaAs (a crystal structure in Alexandria, relaxed with GGA-PBE; Cu Kα (weighted mean of Kα1 and Kα2)).
Kinematic intensities with the Lorentz-polarization factor, no thermal factor.

Largest 12 diffraction maxima, by angle, 10° ≤ 2θ ≤ 90°:
(hkl), 2θ (°), I/Imax
0 0 2, 17.6, 233
2 0 -1, 20.3, 183
2 0 -2, 23.3, 1000
2 0 1, 24.9, 253
1 1 2, 28.9, 465
0 2 0, 35.1, 544
1 1 3, 36.0, 374
3 1 0, 36.3, 325
3 1 1, 39.5, 179
2 2 -2, 42.6, 193
2 0 4, 46.8, 216
5 1 -3, 56.3, 164

Atomic structure:
a b c (Å): 8.851 5.111 10.503
angles (deg): 90.00 106.20 90.00
Space group Cm (No. 8)
Unique sites:
K  0.000  0.000  0.000 x2
K  0.214  0.000  0.646 x2
Ba  0.426  0.000  0.280 x2
As  0.220  0.500  0.160 x2

***

Structure and theoretical X-ray powder pattern of KBa3As6 (a crystal structure in Alexandria, relaxed with GGA-PBE; Cu Kα (weighted mean of Kα1 and Kα2)).
Kinematic intensities with the Lorentz-polarization factor, no thermal factor.

Largest 12 diffraction maxima, by angle, 10° ≤ 2θ ≤ 90°:
(hkl), 2θ (°), I/Imax
1 1 0, 13.2, 354
1 1 3, 25.6, 280
2 2 0, 26.7, 159
1 3 1, 28.7, 1000
3 1 2, 31.5, 494
0 2 4, 33.2, 663
4 1 3, 42.1, 376
1 2 5, 42.4, 138
1 5 2, 46.1, 184
3 3 3, 46.4, 141
1 5 5, 58.2, 245
3 3 6, 61.7, 112

Atomic structure:
a b c (Å): 13.3790 13.3790 12.2099
angles (deg): 90.00 90.00 120.00
Space group R-3c (No. 167, hexagonal axes)
Unique sites:
K  0.0000  0.0000  0.0000 x6
Ba  0.0000  0.4367  0.2500 x18
As  0.0777  0.2352  0.3285 x36

***

Structure and theoretical X-ray powder pattern of K5BaNbAs4 (a crystal structure in Alexandria, relaxed with GGA-PBE; Cu Kα (weighted mean of Kα1 and Kα2)).
Kinematic intensities with the Lorentz-polarization factor, no thermal factor.

Largest 12 diffraction maxima, by angle, 10° ≤ 2θ ≤ 90°:
(hkl), 2θ (°), I/Imax
1 1 -1, 14.4, 675
0 2 1, 14.6, 263
3 1 -1, 28.1, 826
3 1 1, 28.6, 306
2 2 -2, 29.1, 506
0 4 2, 29.4, 503
2 2 2, 29.8, 504
0 6 1, 31.5, 341
3 3 1, 31.9, 349
1 1 -3, 34.1, 307
2 6 0, 34.2, 1000
4 0 0, 34.4, 564

Atomic structure:
a b c (Å): 10.428 18.187 8.190
angles (deg): 90.00 91.62 90.00
Space group Cc (No. 9)
Unique sites:
K  0.000  0.030  0.000 x4
K  0.008  0.362  0.327 x4
K  0.227  0.430  0.798 x4
K  0.289  0.070  0.342 x4
K  0.296  0.266  0.500 x4
Ba  0.204  0.235  0.007 x4
Nb  0.005  0.167  0.609 x4
As  0.001  0.299  0.712 x4
As  0.010  0.172  0.302 x4
As  0.201  0.103  0.723 x4
As  0.302  0.397  0.191 x4

***

Structure and theoretical X-ray powder pattern of K2BaAs2S6 (a crystal structure in Alexandria, relaxed with GGA-PBE; Cu Kα (weighted mean of Kα1 and Kα2)).
Kinematic intensities with the Lorentz-polarization factor, no thermal factor.

Largest 12 diffraction maxima, by angle, 10° ≤ 2θ ≤ 90°:
(hkl), 2θ (°), I/Imax
0 0 1, 11.1, 1000
2 0 -1, 15.7, 329
2 0 0, 16.2, 585
0 2 0, 22.7, 392
1 1 -2, 23.5, 646
0 2 1, 25.3, 698
3 1 -2, 28.5, 231
4 0 -1, 30.2, 273
0 2 2, 32.0, 265
2 2 1, 32.5, 512
1 1 -3, 33.5, 236
5 1 -3, 43.9, 228

Atomic structure:
a b c (Å): 11.852 7.844 8.629
angles (deg): 90.00 112.52 90.00
Space group C2/m (No. 12)
Unique sites:
K  0.193  0.000  0.136 x4
Ba  0.000  0.000  0.500 x2
As  0.030  0.500  0.365 x4
S  0.056  0.276  0.784 x8
S  0.225  0.500  0.467 x4

***

Structure and theoretical X-ray powder pattern of KBaAsS4 (a crystal structure in Alexandria, relaxed with GGA-PBE; Cu Kα (weighted mean of Kα1 and Kα2)).
Kinematic intensities with the Lorentz-polarization factor, no thermal factor.

Largest 12 diffraction maxima, by angle, 10° ≤ 2θ ≤ 90°:
(hkl), 2θ (°), I/Imax
0 1 1, 16.2, 1000
1 0 1, 18.3, 312
1 1 -2, 24.5, 471
0 2 0, 25.9, 727
2 0 -2, 28.6, 434
1 1 2, 29.5, 981
2 1 -2, 31.4, 638
0 2 2, 32.8, 326
2 2 0, 37.2, 764
1 0 -4, 38.9, 450
1 3 2, 48.0, 340
0 4 0, 53.3, 478

Atomic structure:
a b c (Å): 7.042 6.874 9.299
angles (deg): 90.00 104.80 90.00
Space group P2_1/m (No. 11)
Unique sites:
K  0.246  0.250  0.449 x2
Ba  0.270  0.250  0.955 x2
As  0.296  0.750  0.205 x2
S  0.086  0.750  0.341 x2
S  0.154  0.750  0.965 x2
S  0.491  0.003  0.250 x4

***

Structure and theoretical X-ray powder pattern of Ba2La4As3N2 (a crystal structure in Alexandria, relaxed with GGA-PBE; Cu Kα (weighted mean of Kα1 and Kα2)).
Kinematic intensities with the Lorentz-polarization factor, no thermal factor.

Largest 12 diffraction maxima, by angle, 10° ≤ 2θ ≤ 90°:
(hkl), 2θ (°), I/Imax
1 1 2, 26.5, 588
0 0 8, 27.5, 178
1 1 4, 29.1, 152
1 0 7, 30.2, 252
1 1 6, 33.0, 1000
2 0 0, 36.5, 606
2 0 8, 46.3, 170
2 1 7, 48.0, 134
2 2 0, 52.6, 209
3 1 2, 59.8, 121
2 0 14, 62.8, 110
3 1 6, 63.5, 304

Atomic structure:
a b c (Å): 4.925 4.925 25.961
angles (deg): 90.00 90.00 90.00
Space group I4/mmm (No. 139)
Unique sites:
Ba  0.000  0.000  0.198 x4
La  0.000  0.500  0.080 x8
As  0.000  0.000  0.335 x4
As  0.000  0.000  0.500 x2
N  0.000  0.000  0.094 x4

***

Structure and theoretical X-ray powder pattern of BaLaAs2O6 (a crystal structure in Alexandria, relaxed with GGA-PBE; Cu Kα (weighted mean of Kα1 and Kα2)).
Kinematic intensities with the Lorentz-polarization factor, no thermal factor.

Largest 12 diffraction maxima, by angle, 10° ≤ 2θ ≤ 90°:
(hkl), 2θ (°), I/Imax
0 1 2, 20.0, 112
1 0 4, 26.1, 1000
1 1 0, 30.5, 573
0 2 4, 40.6, 230
2 -1 6, 42.6, 165
0 1 8, 43.2, 182
3 -1 4, 51.6, 253
2 0 8, 53.8, 89
3 0 0, 54.1, 177
1 2 8, 63.1, 80
2 2 0, 63.4, 77
1 3 4, 69.8, 126

Atomic structure:
a b c (Å): 5.8700 5.8700 18.3921
angles (deg): 90.00 90.00 120.00
Space group R-3 (No. 148, hexagonal axes)
Unique sites:
Ba  0.0000  0.0000  0.0000 x3
La  0.0000  0.0000  0.5000 x3
As  0.0000  0.0000  0.2775 x6
O  0.0263  0.2928  0.2413 x18